LaDy6Cd2: simulated PXRD pattern (Cu Kα, 1.54184 Å), based on DFT lattice parameters and positions (PBE).
Kinematic intensities with the Lorentz-polarization factor, no thermal factor.

Structure:
a b c (Å): 6.6363 6.6363 11.9589
angles (deg): 107.31 107.31 32.81
Fractional positions:
La: 0.0000 0.0000 0.0000
Dy: 0.0145 0.0145 0.3422
Dy: 0.3144 0.3144 0.1250
Dy: 0.3136 0.3136 0.4187
Dy: 0.6864 0.6864 0.5813
Dy: 0.6856 0.6856 0.8750
Dy: 0.9855 0.9855 0.6578
Cd: 0.3477 0.3477 0.7793
Cd: 0.6523 0.6523 0.2207

Most intense lines, 2θ = 10–90°, sorted by position:
d = 2.840 Å, 2θ = 31.5°, I = 55
d = 2.831 Å, 2θ = 31.6°, I = 50
d = 2.746 Å, 2θ = 32.6°, I = 99
d = 2.731 Å, 2θ = 32.8°, I = 100
d = 1.993 Å, 2θ = 45.5°, I = 16
d = 1.875 Å, 2θ = 48.6°, I = 18
d = 1.621 Å, 2θ = 56.8°, I = 16
d = 1.615 Å, 2θ = 57.0°, I = 16
d = 1.612 Å, 2θ = 57.2°, I = 15
d = 1.564 Å, 2θ = 59.1°, I = 36

ZnGaNi: simulated PXRD pattern (Cu Kα, 1.54184 Å), based on DFT lattice parameters and positions (PBE).
Kinematic intensities with the Lorentz-polarization factor, no thermal factor.

Structure:
a b c (Å): 2.6398 4.1009 4.2617
angles (deg): 90.00 90.00 90.00
Fractional positions:
Zn: 0.0000 0.0000 0.0000
Ga: 0.0000 0.5000 0.5000
Ni: 0.5000 0.0000 0.5000

Most intense lines, 2θ = 10–90°, sorted by position:
d = 4.262 Å, 2θ = 20.8°, I = 22
d = 4.101 Å, 2θ = 21.7°, I = 18
d = 2.955 Å, 2θ = 30.2°, I = 23
d = 2.640 Å, 2θ = 34.0°, I = 9
d = 2.131 Å, 2θ = 42.4°, I = 32
d = 2.050 Å, 2θ = 44.2°, I = 28
d = 1.969 Å, 2θ = 46.1°, I = 100
d = 1.477 Å, 2θ = 62.9°, I = 19
d = 1.196 Å, 2θ = 80.2°, I = 18
d = 1.167 Å, 2θ = 82.7°, I = 17

LaPm2Y6: simulated PXRD pattern (Cu Kα, 1.54184 Å), based on DFT lattice parameters and positions (PBE).
Kinematic intensities with the Lorentz-polarization factor, no thermal factor.

Structure:
a b c (Å): 9.6602 9.6602 6.6561
angles (deg): 98.31 98.31 95.15
Fractional positions:
La: 0.1212 0.8788 0.7500
La: 0.8788 0.1212 0.2500
Pm: 0.3344 0.3878 0.6293
Pm: 0.3878 0.3344 0.1293
Pm: 0.6122 0.6656 0.8707
Pm: 0.6656 0.6122 0.3707
Y: 0.0516 0.2212 0.8171
Y: 0.0586 0.4607 0.2680
Y: 0.2212 0.0516 0.3171
Y: 0.2780 0.6543 0.9997
Y: 0.3457 0.7220 0.5003
Y: 0.4607 0.0586 0.7680
Y: 0.5393 0.9414 0.2320
Y: 0.6543 0.2780 0.4997
Y: 0.7220 0.3457 0.0003
Y: 0.7788 0.9484 0.6829
Y: 0.9414 0.5393 0.7320
Y: 0.9484 0.7788 0.1829

Most intense lines, 2θ = 10–90°, sorted by position:
d = 3.167 Å, 2θ = 28.2°, I = 27
d = 3.126 Å, 2θ = 28.6°, I = 33
d = 2.935 Å, 2θ = 30.5°, I = 18
d = 2.907 Å, 2θ = 30.8°, I = 100
d = 2.871 Å, 2θ = 31.2°, I = 48
d = 2.783 Å, 2θ = 32.2°, I = 35
d = 2.725 Å, 2θ = 32.9°, I = 29
d = 2.698 Å, 2θ = 33.2°, I = 28
d = 2.673 Å, 2θ = 33.5°, I = 24
d = 2.476 Å, 2θ = 36.3°, I = 19

CoSn6Pd: simulated PXRD pattern (Cu Kα, 1.54184 Å), based on DFT lattice parameters and positions (PBE).
Kinematic intensities with the Lorentz-polarization factor, no thermal factor.

Structure:
a b c (Å): 7.9565 7.9565 9.3904
angles (deg): 123.71 123.71 70.55
Fractional positions:
Co: 0.0000 0.5000 0.0000
Co: 0.5000 0.0000 0.0000
Sn: 0.1553 0.8154 0.3190
Sn: 0.1697 0.5155 0.8477
Sn: 0.1846 0.8447 0.6810
Sn: 0.3100 0.3100 0.1390
Sn: 0.3585 0.3585 0.4998
Sn: 0.4845 0.8303 0.1523
Sn: 0.5155 0.1697 0.8477
Sn: 0.6415 0.6415 0.5002
Sn: 0.6900 0.6900 0.8610
Sn: 0.8154 0.1553 0.3190
Sn: 0.8303 0.4845 0.1523
Sn: 0.8447 0.1846 0.6810
Pd: 0.0000 0.5000 0.5000
Pd: 0.5000 0.0000 0.5000

Most intense lines, 2θ = 10–90°, sorted by position:
d = 3.022 Å, 2θ = 29.6°, I = 33
d = 3.001 Å, 2θ = 29.8°, I = 51
d = 2.957 Å, 2θ = 30.2°, I = 21
d = 2.914 Å, 2θ = 30.7°, I = 100
d = 2.578 Å, 2θ = 34.8°, I = 18
d = 2.496 Å, 2θ = 36.0°, I = 17
d = 2.486 Å, 2θ = 36.1°, I = 37
d = 2.455 Å, 2θ = 36.6°, I = 17
d = 1.966 Å, 2θ = 46.2°, I = 18
d = 1.812 Å, 2θ = 50.4°, I = 17

LiCd2Pd3: simulated PXRD pattern (Cu Kα, 1.54184 Å), based on DFT lattice parameters and positions (PBE).
Kinematic intensities with the Lorentz-polarization factor, no thermal factor.

Structure:
a b c (Å): 4.3945 6.7449 6.9604
angles (deg): 90.00 108.01 90.00
Fractional positions:
Li: 0.1648 0.0000 0.3296
Li: 0.8352 0.0000 0.6704
Cd: 0.1673 0.5000 0.3340
Cd: 0.5000 0.0000 0.0000
Cd: 0.5000 0.5000 0.0000
Cd: 0.8327 0.5000 0.6660
Pd: 0.0000 0.2429 0.0000
Pd: 0.0000 0.7571 0.0000
Pd: 0.3277 0.2309 0.6564
Pd: 0.3277 0.7691 0.6564
Pd: 0.6723 0.2309 0.3436
Pd: 0.6723 0.7691 0.3436

Most intense lines, 2θ = 10–90°, sorted by position:
d = 2.292 Å, 2θ = 39.3°, I = 100
d = 2.284 Å, 2θ = 39.5°, I = 99
d = 2.206 Å, 2θ = 40.9°, I = 45
d = 2.197 Å, 2θ = 41.1°, I = 45
d = 1.686 Å, 2θ = 54.4°, I = 18
d = 1.562 Å, 2θ = 59.1°, I = 15
d = 1.340 Å, 2θ = 70.3°, I = 16
d = 1.338 Å, 2θ = 70.4°, I = 16
d = 1.287 Å, 2θ = 73.6°, I = 30
d = 1.283 Å, 2θ = 73.9°, I = 17

PtAuO3: simulated PXRD pattern (Cu Kα, 1.54184 Å), based on DFT lattice parameters and positions (PBE).
Kinematic intensities with the Lorentz-polarization factor, no thermal factor.

Structure:
a b c (Å): 6.4395 3.7004 7.0004
angles (deg): 90.00 106.15 90.00
Fractional positions:
Pt: 0.0301 0.2500 0.1980
Pt: 0.9699 0.7500 0.8020
Au: 0.3222 0.2500 0.5650
Au: 0.6778 0.7500 0.4350
O: 0.0753 0.2500 0.6983
O: 0.1491 0.7500 0.0883
O: 0.4223 0.7500 0.5871
O: 0.5777 0.2500 0.4129
O: 0.8509 0.2500 0.9117
O: 0.9247 0.7500 0.3017

Most intense lines, 2θ = 10–90°, sorted by position:
d = 6.724 Å, 2θ = 13.2°, I = 42
d = 6.185 Å, 2θ = 14.3°, I = 30
d = 4.028 Å, 2θ = 22.1°, I = 34
d = 3.176 Å, 2θ = 28.1°, I = 38
d = 3.164 Å, 2θ = 28.2°, I = 38
d = 3.044 Å, 2θ = 29.3°, I = 100
d = 2.660 Å, 2θ = 33.7°, I = 47
d = 2.488 Å, 2θ = 36.1°, I = 29
d = 2.101 Å, 2θ = 43.0°, I = 38
d = 1.778 Å, 2θ = 51.4°, I = 27

PdN4Cl2O: simulated PXRD pattern (Cu Kα, 1.54184 Å), based on DFT lattice parameters and positions (PBE).
Kinematic intensities with the Lorentz-polarization factor, no thermal factor.

Structure:
a b c (Å): 7.7946 7.7946 6.9985
angles (deg): 90.00 90.00 90.00
Fractional positions:
Pd: 0.0000 0.0000 0.0000
Pd: 0.5000 0.5000 0.0000
N: 0.1749 0.2233 0.0000
N: 0.2233 0.8251 0.0000
N: 0.2767 0.3251 0.0000
N: 0.3251 0.7233 0.0000
N: 0.6749 0.2767 0.0000
N: 0.7233 0.6749 0.0000
N: 0.7767 0.1749 0.0000
N: 0.8251 0.7767 0.0000
Cl: 0.0903 0.4097 0.5000
Cl: 0.4097 0.9097 0.5000
Cl: 0.5903 0.0903 0.5000
Cl: 0.9097 0.5903 0.5000
O: 0.0000 0.5000 0.0000
O: 0.5000 0.0000 0.0000

Most intense lines, 2θ = 10–90°, sorted by position:
d = 6.998 Å, 2θ = 12.6°, I = 43
d = 4.330 Å, 2θ = 20.5°, I = 100
d = 3.897 Å, 2θ = 22.8°, I = 22
d = 3.497 Å, 2θ = 25.5°, I = 52
d = 2.756 Å, 2θ = 32.5°, I = 20
d = 2.604 Å, 2θ = 34.4°, I = 15
d = 2.564 Å, 2θ = 35.0°, I = 23
d = 2.165 Å, 2θ = 41.7°, I = 20
d = 2.148 Å, 2θ = 42.1°, I = 14
d = 1.877 Å, 2θ = 48.5°, I = 14

Nd5Hg2: simulated PXRD pattern (Cu Kα, 1.54184 Å), based on DFT lattice parameters and positions (PBE).
Kinematic intensities with the Lorentz-polarization factor, no thermal factor.

Structure:
a b c (Å): 9.2135 9.2135 6.6712
angles (deg): 93.50 93.50 51.26
Fractional positions:
Nd: 0.0298 0.9702 0.7500
Nd: 0.1532 0.3099 0.7223
Nd: 0.2834 0.5519 0.4767
Nd: 0.3099 0.1532 0.2223
Nd: 0.4481 0.7166 0.0233
Nd: 0.5519 0.2834 0.9767
Nd: 0.6901 0.8468 0.7777
Nd: 0.7166 0.4481 0.5233
Nd: 0.8468 0.6901 0.2777
Nd: 0.9702 0.0298 0.2500
Hg: 0.1339 0.6297 0.9831
Hg: 0.3703 0.8661 0.5169
Hg: 0.6297 0.1339 0.4831
Hg: 0.8661 0.3703 0.0169

Most intense lines, 2θ = 10–90°, sorted by position:
d = 3.163 Å, 2θ = 28.2°, I = 30
d = 3.123 Å, 2θ = 28.6°, I = 74
d = 3.059 Å, 2θ = 29.2°, I = 69
d = 2.986 Å, 2θ = 29.9°, I = 36
d = 2.873 Å, 2θ = 31.1°, I = 100
d = 2.685 Å, 2θ = 33.4°, I = 100
d = 2.554 Å, 2θ = 35.1°, I = 77
d = 2.513 Å, 2θ = 35.7°, I = 66
d = 2.274 Å, 2θ = 39.6°, I = 48
d = 1.687 Å, 2θ = 54.4°, I = 36